Rh3Cl: calculated powder XRD pattern (Cu Kα), based on a structure optimized by DFT (PBE).
Intensities are scaled so that the largest is 100.

Crystal structure
Cell lengths 4.6449, 4.6449, 2.7915 Å; angles 90.00, 90.00, 97.40 degrees
Sites, in units of the cell vectors:
Rh (0.0000, 0.0000, 0.0000)
Rh (0.0000, 0.5000, 0.5000)
Rh (0.5000, 0.0000, 0.5000)
Cl (0.5000, 0.5000, 0.0000)

Main lines, sorted by position (2θ from 10° to 90°):
- 19.3°, d = 4.606 Å, rel. 23
- 39.1°, d = 2.303 Å, rel. 100
- 41.4°, d = 2.180 Å, rel. 88
- 43.9°, d = 2.064 Å, rel. 72
- 52.4°, d = 1.745 Å, rel. 21
- 60.4°, d = 1.533 Å, rel. 13
- 70.7°, d = 1.332 Å, rel. 33
- 75.9°, d = 1.254 Å, rel. 27
- 80.5°, d = 1.194 Å, rel. 23
- 84.0°, d = 1.152 Å, rel. 11